# 1
Calculated X-ray diffraction stick pattern of Tb2CeYN4 for Cu Ka, from DFT lattice parameters and positions (PBE).

Most intense lines, 5 to 70 degrees two-theta, low angle first:
index, two_theta, Rel. int.
0 0 1, 15.47, 49
2 0 -1, 29.87, 33
2 0 0, 31.23, 1000
1 1 1, 36.18, 506
2 0 -2, 36.31, 251
1 1 -2, 39.60, 16
0 0 3, 47.61, 10
2 0 2, 52.09, 173
3 1 -1, 52.19, 344
3 1 1, 62.00, 298
4 0 -2, 62.17, 148
4 0 0, 65.15, 172

Cell and atoms:
```
data_Tb2CeYN4
_chemical_formula_sum 'Tb2 Ce1 Y1 N4'
_space_group_name_H-M_alt 'P 1 2/m 1'
_space_group_IT_number 10
_cell_length_a 6.067
_cell_length_b 3.513
_cell_length_c 6.068
_cell_angle_alpha 90.00
_cell_angle_beta 109.31
_cell_angle_gamma 90.00
loop_
_space_group_symop_operation_xyz
'x,y,z'
'-x,-y,-z'
'-x,y,-z'
'x,-y,z'
loop_
_atom_site_label
_atom_site_type_symbol
_atom_site_fract_x
_atom_site_fract_y
_atom_site_fract_z
Tb1 Tb 0.000 0.000 0.000
Tb2 Tb 0.500 0.500 0.000
Ce1 Ce 0.000 0.500 0.500
Y1 Y 0.500 0.000 0.500
N1 N 0.248 0.500 0.253
N2 N 0.249 0.000 0.748
```

# 2
Calculated X-ray diffraction stick pattern of La6Nd5Tm for Cu Ka, from DFT lattice parameters and positions (PBE).

Most intense lines, 5 to 70 degrees two-theta, low angle first:
index, two_theta, Rel. int.
0 0 3, 29.59, 334
2 0 1, 29.62, 1000
1 2 3, 34.18, 457
2 0 -2, 34.61, 221
2 0 4, 49.11, 164
3 2 1, 49.44, 322
3 2 4, 58.37, 147
2 4 3, 58.42, 243
4 0 -1, 58.97, 189
4 0 2, 61.45, 125
-2 4 4, 61.54, 42

Cell and atoms:
```
data_La6Nd5Tm
_chemical_formula_sum 'La6 Nd5 Tm1'
_space_group_name_H-M_alt 'P -1'
_space_group_IT_number 2
_cell_length_a 6.374
_cell_length_b 7.415
_cell_length_c 9.787
_cell_angle_alpha 67.74
_cell_angle_beta 89.34
_cell_angle_gamma 89.92
loop_
_space_group_symop_operation_xyz
'x,y,z'
'-x,-y,-z'
loop_
_atom_site_label
_atom_site_type_symbol
_atom_site_fract_x
_atom_site_fract_y
_atom_site_fract_z
La1 La 0.000 0.247 0.000
La2 La 0.335 0.083 0.331
La3 La 0.335 0.586 0.331
Nd1 Nd 0.165 0.667 0.667
Nd2 Nd 0.168 0.166 0.668
Nd3 Nd 0.500 0.500 0.000
Tm1 Tm 0.500 0.000 0.000
```

# 3
Calculated X-ray diffraction stick pattern of AlTlW for Cu Ka, from DFT lattice parameters and positions (PBE).

Most intense lines, 5 to 70 degrees two-theta, low angle first:
index, two_theta, Rel. int.
0 0 2, 12.69, 379
0 0 4, 25.54, 186
1 1 1, 32.12, 279
1 1 3, 37.05, 1000
0 0 6, 38.72, 206
0 2 0, 39.30, 218
2 0 0, 50.34, 108
0 2 6, 56.36, 264
2 0 6, 65.26, 91
2 2 0, 65.67, 98
1 1 9, 68.99, 137
1 3 3, 69.78, 160

Cell and atoms:
```
data_AlTlW
_chemical_formula_sum 'Al4 Tl4 W4'
_space_group_name_H-M_alt 'F m m 2'
_space_group_IT_number 42
_space_group_name_Hall 'F 2 -2'
_cell_length_a 3.625
_cell_length_b 4.585
_cell_length_c 13.953
_cell_angle_alpha 90.00
_cell_angle_beta 90.00
_cell_angle_gamma 90.00
loop_
_atom_site_label
_atom_site_type_symbol
_atom_site_fract_x
_atom_site_fract_y
_atom_site_fract_z
Al1 Al 0.000 0.000 0.000
Tl1 Tl 0.000 0.000 0.687
W1 W 0.000 0.000 0.365
```

# 4
Calculated X-ray diffraction stick pattern of Dy2Al2Fe15 for Cu Ka, from DFT lattice parameters and positions (PBE).

Most intense lines, 5 to 70 degrees two-theta, low angle first:
index, two_theta, Rel. int.
1 0 1, 16.17, 74
2 0 1, 26.82, 97
1 1 2, 30.18, 289
2 1 1, 34.44, 126
3 0 0, 37.25, 219
2 0 3, 40.77, 133
0 0 4, 43.14, 243
3 0 2, 43.25, 1000
2 1 3, 46.42, 68
2 2 2, 48.66, 104
3 0 4, 58.28, 77
2 2 4, 62.79, 237

Cell and atoms:
```
data_Dy2Al2Fe15
_chemical_formula_sum 'Dy4 Al4 Fe30'
_space_group_name_H-M_alt 'P 63/m m c'
_space_group_IT_number 194
_space_group_name_Hall '-P 6c 2c'
_cell_length_a 8.3628
_cell_length_b 8.3628
_cell_length_c 8.3882
_cell_angle_alpha 90.00
_cell_angle_beta 90.00
_cell_angle_gamma 120.00
loop_
_atom_site_label
_atom_site_type_symbol
_atom_site_fract_x
_atom_site_fract_y
_atom_site_fract_z
Dy1 Dy 0.0000 0.0000 0.2500
Dy2 Dy 0.3333 0.6667 0.2500
Al1 Al 0.3333 0.6667 0.6004
Fe1 Fe 0.0000 0.5000 0.0000
Fe2 Fe 0.0346 0.3653 0.7500
Fe3 Fe 0.1654 0.3309 0.0119
```

# 5
Calculated X-ray diffraction stick pattern of NaPH7O6 for Cu Ka, from DFT lattice parameters and positions (PBE).

Most intense lines, 5 to 70 degrees two-theta, low angle first:
index, two_theta, Rel. int.
1 1 0, 14.42, 746
1 1 -1, 14.89, 697
1 1 1, 17.73, 349
4 0 0, 27.83, 787
2 0 -4, 28.07, 694
2 2 -1, 28.49, 660
0 0 4, 31.19, 408
4 0 -4, 31.63, 499
2 2 -3, 33.44, 337
0 2 3, 34.76, 1000
4 2 -1, 36.28, 293
4 2 -5, 45.50, 426

Cell and atoms:
```
data_NaPH7O6
_chemical_formula_sum 'Na8 P8 H56 O48'
_space_group_name_H-M_alt 'C 1 2/c 1'
_space_group_IT_number 15
_cell_length_a 14.217
_cell_length_b 6.996
_cell_length_c 12.717
_cell_angle_alpha 90.00
_cell_angle_beta 115.57
_cell_angle_gamma 90.00
loop_
_space_group_symop_operation_xyz
'x,y,z'
'-x,-y,-z'
'-x,y,-z+1/2'
'x,-y,z+1/2'
'x+1/2,y+1/2,z'
'-x+1/2,-y+1/2,-z'
'-x+1/2,y+1/2,-z+1/2'
'x+1/2,-y+1/2,z+1/2'
loop_
_atom_site_label
_atom_site_type_symbol
_atom_site_fract_x
_atom_site_fract_y
_atom_site_fract_z
Na1 Na 0.238 0.116 0.234
P1 P 0.001 0.362 0.338
H1 H 0.007 0.027 0.889
H2 H 0.023 0.330 0.639
H3 H 0.058 0.162 0.000
H4 H 0.171 0.223 0.548
H5 H 0.173 0.132 0.898
H6 H 0.210 0.433 0.050
H7 H 0.216 0.363 0.400
O1 O 0.045 0.152 0.917
O2 O 0.057 0.188 0.146
O3 O 0.068 0.452 0.670
O4 O 0.113 0.388 0.430
O5 O 0.221 0.150 0.616
O6 O 0.234 0.122 0.880
```

# 6
Calculated X-ray diffraction stick pattern of Mn2V2Ga for Cu Ka, from DFT lattice parameters and positions (PBE).

Most intense lines, 5 to 70 degrees two-theta, low angle first:
index, two_theta, Rel. int.
0 0 2, 12.22, 8
1 0 1, 31.12, 25
1 0 3, 35.83, 30
0 0 6, 37.24, 20
1 1 0, 43.66, 535
1 0 5, 43.94, 1000
0 0 8, 50.39, 8
1 0 7, 54.26, 5
1 1 6, 58.70, 20
2 0 0, 63.46, 160
0 0 10, 64.30, 63
1 1 8, 68.84, 12

Cell and atoms:
```
data_Mn2V2Ga
_chemical_formula_sum 'Mn4 V4 Ga2'
_space_group_name_H-M_alt 'I 4 m m'
_space_group_IT_number 107
_space_group_name_Hall 'I 4 -2'
_cell_length_a 2.932
_cell_length_b 2.932
_cell_length_c 14.487
_cell_angle_alpha 90.00
_cell_angle_beta 90.00
_cell_angle_gamma 90.00
loop_
_atom_site_label
_atom_site_type_symbol
_atom_site_fract_x
_atom_site_fract_y
_atom_site_fract_z
Mn1 Mn 0.000 0.000 0.000
Mn2 Mn 0.000 0.000 0.192
V1 V 0.000 0.000 0.413
V2 V 0.000 0.000 0.607
Ga1 Ga 0.000 0.000 0.797
```